For K2PdO4, a DFT-relaxed cell (PBE, the Materials Project) gives the simulated XRD peak list in this record (Cu Ka).
No peak broadening, texture or thermal motion is included.

Main lines, by angle (2θ from 10° to 90°):
d 4.879, 2θ = 18.18°, rel. 82, (0 1 1)
d 3.418, 2θ = 26.07°, rel. 75, (0 2 0)
d 3.405, 2θ = 26.18°, rel. 65, (1 0 -2)
d 3.230, 2θ = 27.61°, rel. 100, (1 1 1)
d 2.522, 2θ = 35.60°, rel. 82, (2 1 -1)
d 2.198, 2θ = 41.06°, rel. 58, (0 1 3)

Crystal structure
Cell lengths 5.441, 6.836, 7.304 Å; angles 90.00, 107.52, 90.00 degrees
Atoms (fractional coordinates):
K: 0.172 0.054 0.330
K: 0.172 0.446 0.830
K: 0.828 0.554 0.170
K: 0.828 0.946 0.670
Pd: 0.500 0.000 0.000
Pd: 0.500 0.500 0.500
O: 0.224 0.674 0.494
O: 0.224 0.826 0.994
O: 0.339 0.067 0.738
O: 0.339 0.433 0.238
O: 0.661 0.567 0.762
O: 0.661 0.933 0.262
O: 0.776 0.174 0.006
O: 0.776 0.326 0.506